1.
Starting from DFT lattice parameters and positions (GGA-PBE), the X-ray powder pattern of HgSb2Pb2 was calculated for Cu Kα (weighted mean of Kα1 and Kα2).

Most intense lines, 2θ = 15–90°, in order of rising 2θ:
index	d/Å	two_theta	intensity
-1 1 1	3.542	25.1	75.1
1 -1 1	3.465	25.7	100.0
1 1 0	3.194	27.9	92.4
0 0 2	3.114	28.7	26.7
1 0 -2	2.845	31.4	49.4
0 1 2	2.533	35.4	31.4
1 -2 1	2.482	36.2	27.7
-2 1 1	2.422	37.1	29.8
0 2 1	2.311	39.0	42.5
2 0 1	2.189	41.2	40.8

Atomic structure:
Cell lengths 5.1995, 5.4943, 6.3363 Å; angles 95.66, 97.17, 105.07 degrees
Space group P-1 (No. 2)
Symmetry-distinct sites (fractional):
Hg1 0.0000 0.0000 0.0000 [1 per cell]
Sb1 0.4067 0.4304 0.1970 [2 per cell]
Pb1 0.2090 0.7874 0.5163 [2 per cell]

2.
Starting from DFT lattice parameters and positions (GGA-PBE), the X-ray powder pattern of NbCo3 was calculated for Cu Kα (weighted mean of Kα1 and Kα2).

Most intense lines, 2θ = 15–90°, in order of rising 2θ:
index	d/Å	two_theta	intensity
1 1 0	2.358	38.2	43.8
1 0 6	2.178	41.5	65.4
1 1 4	2.012	45.0	100.0
2 0 2	1.974	46.0	61.7
1 0 7	1.942	46.8	18.9
2 0 3	1.898	47.9	18.6
2 1 6	1.324	71.2	23.4
3 0 4	1.284	73.8	21.0
2 0 10	1.232	77.5	19.8
2 2 0	1.179	81.7	24.6

Atomic structure:
Cell lengths 4.7152, 4.7152, 15.4518 Å; angles 90.00, 90.00, 120.00 degrees
Space group P6_3mc (No. 186)
Symmetry-distinct sites (fractional):
Nb1 0.0000 0.0000 0.0000 [2 per cell]
Nb2 0.0000 0.0000 0.1894 [2 per cell]
Nb3 0.3333 0.6667 0.2706 [2 per cell]
Co1 0.0006 0.5003 0.5993 [6 per cell]
Co2 0.1650 0.3300 0.8507 [6 per cell]
Co3 0.3333 0.6667 0.4507 [2 per cell]
Co4 0.3333 0.6667 0.7246 [2 per cell]
Co5 0.3333 0.6667 0.9729 [2 per cell]

3.
Starting from DFT lattice parameters and positions (GGA-PBE), the X-ray powder pattern of Ho4Cu2Pt was calculated for Cu Kα (weighted mean of Kα1 and Kα2).

Most intense lines, 2θ = 15–90°, in order of rising 2θ:
index	d/Å	two_theta	intensity
1 0 1	4.150	21.4	7.6
1 0 4	3.443	25.9	13.5
0 1 5	3.160	28.2	4.6
0 0 9	2.652	33.8	3.1
1 1 0	2.434	36.9	100.0
0 0 12	1.988	45.6	4.0
2 0 8	1.721	53.2	17.5
1 1 12	1.540	60.1	5.4
3 0 0	1.405	66.5	35.4
2 2 0	1.217	78.6	11.0

Atomic structure:
Cell lengths 4.8663, 4.8663, 23.8732 Å; angles 90.00, 90.00, 120.00 degrees
Space group R-3m (No. 166, hexagonal axes)
Symmetry-distinct sites (fractional):
Ho1 0.0000 0.0000 0.1243 [6 per cell]
Ho2 0.0000 0.0000 0.3747 [6 per cell]
Cu1 0.0000 0.0000 0.2526 [6 per cell]
Pt1 0.0000 0.0000 0.5000 [3 per cell]

4.
Starting from DFT lattice parameters and positions (GGA-PBE), the X-ray powder pattern of MgMnHgC2 was calculated for Cu Kα (weighted mean of Kα1 and Kα2).

Most intense lines, 2θ = 15–90°, in order of rising 2θ:
index	d/Å	two_theta	intensity
0 0 1	5.032	17.6	25.6
1 0 0	4.272	20.8	51.0
1 0 1	3.257	27.4	100.0
1 1 0	3.021	29.6	52.3
0 0 2	2.516	35.7	21.8
1 0 2	2.168	41.7	18.2
2 0 0	2.136	42.3	26.8
1 1 2	1.933	47.0	30.2
2 1 1	1.786	51.1	36.2
2 0 2	1.628	56.5	22.2

Atomic structure:
Cell lengths 4.2721, 4.2721, 5.0319 Å; angles 90.00, 90.00, 90.00 degrees
Space group P4/mmm (No. 123)
Symmetry-distinct sites (fractional):
Mg1 0.0000 0.0000 0.0000 [1 per cell]
Mn1 0.5000 0.5000 0.0000 [1 per cell]
Hg1 0.0000 0.0000 0.5000 [1 per cell]
C1 0.0000 0.5000 0.5000 [2 per cell]

5.
Starting from DFT lattice parameters and positions (GGA-PBE), the X-ray powder pattern of LiLa2SiPd6 was calculated for Cu Kα (weighted mean of Kα1 and Kα2).

Most intense lines, 2θ = 15–90°, in order of rising 2θ:
index	d/Å	two_theta	intensity
0 0 2	3.373	26.4	63.6
1 1 -2	3.167	28.2	19.4
2 2 0	2.465	36.4	100.0
4 0 0	2.271	39.7	84.7
2 2 2	1.792	51.0	19.8
3 1 2	1.785	51.2	13.2
0 4 0	1.467	63.4	22.6
0 4 2	1.346	69.9	15.0
8 0 -2	1.261	75.4	11.2
4 4 0	1.232	77.4	11.2

Atomic structure:
Cell lengths 10.1654, 5.8698, 7.5563 Å; angles 90.00, 116.76, 90.00 degrees
Space group C2/m (No. 12)
Symmetry-distinct sites (fractional):
Li1 0.0000 0.0000 0.0000 [2 per cell]
La1 0.2306 0.5000 0.1943 [4 per cell]
Si1 0.0000 0.5000 0.5000 [2 per cell]
Pd1 0.0117 0.2395 0.2773 [8 per cell]
Pd2 0.2481 0.5000 0.7218 [4 per cell]

6.
Starting from DFT lattice parameters and positions (GGA-PBE), the X-ray powder pattern of TaIr3Ru2 was calculated for Cu Kα (weighted mean of Kα1 and Kα2).

Most intense lines, 2θ = 15–90°, in order of rising 2θ:
index	d/Å	two_theta	intensity
0 0 2	2.425	37.1	15.3
2 2 1	2.281	39.5	100.0
0 6 0	2.274	39.6	29.6
2 4 0	2.160	41.8	14.9
0 6 1	2.059	44.0	11.3
2 4 1	1.974	46.0	58.2
4 0 0	1.395	67.1	20.2
2 2 3	1.371	68.5	14.5
2 8 2	1.248	76.3	12.5
4 6 0	1.189	80.8	12.2

Atomic structure:
Cell lengths 5.5812, 13.6448, 4.8508 Å; angles 90.00, 90.00, 90.00 degrees
Space group Cmcm (No. 63)
Symmetry-distinct sites (fractional):
Ta1 0.0000 0.1532 0.2500 [4 per cell]
Ir1 0.0000 0.3530 0.7500 [4 per cell]
Ir2 0.2485 0.1815 0.7500 [8 per cell]
Ru1 0.2421 0.5000 0.0000 [8 per cell]

7.
Starting from DFT lattice parameters and positions (GGA-PBE), the X-ray powder pattern of MoW2Se4S2 was calculated for Cu Kα (weighted mean of Kα1 and Kα2).

Most intense lines, 2θ = 15–90°, in order of rising 2θ:
index	d/Å	two_theta	intensity
1 0 0	2.840	31.5	42.6
1 0 2	2.781	32.2	32.0
1 0 4	2.623	34.2	39.1
1 0 5	2.521	35.6	19.4
1 0 6	2.412	37.3	100.0
1 0 8	2.186	41.3	30.1
1 0 9	2.077	43.6	44.1
1 0 10	1.972	46.0	46.5
1 1 0	1.639	56.1	32.3
1 1 4	1.594	57.8	17.9

Atomic structure:
Cell lengths 3.2788, 3.2788, 27.4126 Å; angles 90.00, 90.00, 120.00 degrees
Space group P-6m2 (No. 187)
Symmetry-distinct sites (fractional):
Mo1 0.0000 0.0000 0.0000 [1 per cell]
W1 0.6667 0.3333 0.2612 [2 per cell]
Se1 0.0000 0.0000 0.1992 [2 per cell]
Se2 0.0000 0.0000 0.3231 [2 per cell]
S1 0.6667 0.3333 0.0561 [2 per cell]

8.
Starting from DFT lattice parameters and positions (GGA-PBE), the X-ray powder pattern of DyNb2S5 was calculated for Cu Kα (weighted mean of Kα1 and Kα2).

Most intense lines, 2θ = 15–90°, in order of rising 2θ:
index	d/Å	two_theta	intensity
1 1 0	5.107	17.4	31.8
0 0 2	3.297	27.0	65.5
1 3 1	2.935	30.5	100.0
2 0 0	2.811	31.8	33.3
0 4 1	2.769	32.3	48.0
2 0 -1	2.605	34.4	63.8
1 3 -2	2.345	38.4	39.3
1 3 2	2.318	38.9	43.4
0 4 2	2.240	40.3	36.5
2 0 -2	2.160	41.8	30.3

Atomic structure:
Cell lengths 5.6238, 12.2044, 6.5966 Å; angles 90.00, 91.13, 90.00 degrees
Space group C2/m (No. 12)
Symmetry-distinct sites (fractional):
Dy1 0.0000 0.0000 0.0000 [2 per cell]
Nb1 0.0000 0.2929 0.0000 [4 per cell]
S1 0.0000 0.5000 0.0000 [2 per cell]
S2 0.1620 0.1718 0.2419 [8 per cell]

9.
Starting from DFT lattice parameters and positions (GGA-PBE), the X-ray powder pattern of Rb3Hg3Sb2 was calculated for Cu Kα (weighted mean of Kα1 and Kα2).

Most intense lines, 2θ = 15–90°, in order of rising 2θ:
index	d/Å	two_theta	intensity
1 0 1	5.784	15.3	38.3
0 3 1	4.599	19.3	46.1
1 0 2	3.374	26.4	43.9
2 3 1	3.341	26.7	41.8
2 4 0	3.296	27.1	38.2
0 6 0	2.995	29.8	100.0
3 0 1	2.955	30.2	75.9
1 3 2	2.938	30.4	68.9
1 4 2	2.696	33.2	71.5
1 7 1	2.343	38.4	37.8

Atomic structure:
Cell lengths 9.7222, 17.9395, 7.1951 Å; angles 90.00, 90.00, 90.00 degrees
Space group Pnma (No. 62)
Symmetry-distinct sites (fractional):
Rb1 0.0306 0.1018 0.1274 [8 per cell]
Rb2 0.1504 0.2500 0.6451 [4 per cell]
Hg1 0.1679 0.0374 0.6039 [8 per cell]
Hg2 0.1901 0.7500 0.6487 [4 per cell]
Sb1 0.1267 0.5933 0.3606 [8 per cell]

10.
Starting from DFT lattice parameters and positions (GGA-PBE), the X-ray powder pattern of HoH4Os was calculated for Cu Kα (weighted mean of Kα1 and Kα2).

Most intense lines, 2θ = 15–90°, in order of rising 2θ:
index	d/Å	two_theta	intensity
1 1 1	3.232	27.6	52.4
0 2 1	2.912	30.7	26.0
1 1 2	2.681	33.4	100.0
0 2 2	2.490	36.1	27.7
1 1 3	2.174	41.5	17.3
2 0 0	2.124	42.6	21.7
0 0 4	2.079	43.5	20.8
1 3 0	1.863	48.9	28.2
2 2 2	1.616	57.0	15.2
1 3 4	1.387	67.5	21.5

Atomic structure:
Cell lengths 4.2477, 6.2184, 8.3140 Å; angles 90.00, 90.00, 90.00 degrees
Space group Cmcm (No. 63)
Symmetry-distinct sites (fractional):
Ho1 0.0000 0.0000 0.0000 [4 per cell]
H1 0.0000 0.3526 0.0452 [8 per cell]
H2 0.2475 0.0994 0.2500 [8 per cell]
Os1 0.0000 0.3486 0.2500 [4 per cell]

11.
Starting from DFT lattice parameters and positions (GGA-PBE), the X-ray powder pattern of Li2LaOsN4 was calculated for Cu Kα (weighted mean of Kα1 and Kα2).

Most intense lines, 2θ = 15–90°, in order of rising 2θ:
index	d/Å	two_theta	intensity
1 1 0	3.917	22.7	100.0
0 0 2	3.372	26.4	28.3
2 0 0	2.770	32.3	34.1
1 1 2	2.555	35.1	71.5
2 0 2	2.140	42.2	41.3
2 2 0	1.958	46.4	19.2
3 1 0	1.752	52.2	18.6
2 2 2	1.694	54.2	17.4
3 1 2	1.554	59.5	32.5
2 0 4	1.440	64.7	13.8

Atomic structure:
Cell lengths 5.5392, 5.5392, 6.7440 Å; angles 90.00, 90.00, 90.00 degrees
Space group I-42m (No. 121)
Symmetry-distinct sites (fractional):
Li1 0.0000 0.5000 0.2500 [4 per cell]
La1 0.0000 0.0000 0.0000 [2 per cell]
Os1 0.0000 0.0000 0.5000 [2 per cell]
N1 0.1918 0.1918 0.3444 [8 per cell]

12.
Starting from DFT lattice parameters and positions (GGA-PBE), the X-ray powder pattern of Fe4Tc3 was calculated for Cu Kα (weighted mean of Kα1 and Kα2).

Most intense lines, 2θ = 15–90°, in order of rising 2θ:
index	d/Å	two_theta	intensity
0 0 4	5.291	16.8	4.2
1 0 3	2.695	33.2	10.0
0 0 10	2.116	42.7	2.7
1 0 7	2.099	43.1	100.0
1 1 0	2.062	43.9	48.9
0 0 14	1.512	61.3	7.5
1 1 10	1.477	62.9	3.5
2 0 0	1.458	63.8	15.1
1 1 14	1.219	78.4	14.1
2 1 7	1.198	80.1	29.4

Atomic structure:
Cell lengths 2.9163, 2.9163, 21.1627 Å; angles 90.00, 90.00, 90.00 degrees
Space group I4/mmm (No. 139)
Symmetry-distinct sites (fractional):
Fe1 0.0000 0.0000 0.0727 [4 per cell]
Fe2 0.0000 0.0000 0.3642 [4 per cell]
Tc1 0.0000 0.0000 0.2101 [4 per cell]
Tc2 0.0000 0.0000 0.5000 [2 per cell]

13.
Starting from DFT lattice parameters and positions (GGA-PBE), the X-ray powder pattern of Tb8Tc2Ni was calculated for Cu Kα (weighted mean of Kα1 and Kα2).

Most intense lines, 2θ = 15–90°, in order of rising 2θ:
index	d/Å	two_theta	intensity
2 2 -1	3.358	26.5	34.3
1 1 -2	2.914	30.7	69.8
1 3 1	2.863	31.2	100.0
0 4 1	2.770	32.3	68.8
2 0 1	2.722	32.9	62.7
3 1 -1	2.707	33.1	74.6
2 2 -2	2.573	34.9	35.5
0 2 2	2.542	35.3	43.4
2 4 0	2.463	36.5	42.6
1 5 -1	2.326	38.7	98.3

Atomic structure:
Cell lengths 8.3448, 12.7889, 5.9873 Å; angles 90.00, 112.24, 90.00 degrees
Space group Cm (No. 8)
Symmetry-distinct sites (fractional):
Tb1 0.0000 0.0000 0.0000 [2 per cell]
Tb2 0.0620 0.3720 0.7929 [4 per cell]
Tb3 0.1319 0.1339 0.5809 [4 per cell]
Tb4 0.2207 0.5000 0.3933 [2 per cell]
Tb5 0.3458 0.2033 0.1771 [4 per cell]
Tc1 0.3650 0.3079 0.7268 [4 per cell]
Ni1 0.3672 0.0000 0.0211 [2 per cell]